Diffraction record for ZnIn2BiO6. The X-ray powder pattern is simulated, not measured: it uses DFT lattice parameters and positions (GGA-PBE) and Cu Kα (λ = 1.5418 Å).

Most intense lines, 10 to 90 degrees two-theta, by intensity:
Position (°2θ)	I_rel
30.37	100
31.98	94
44.68	40
56.00	39
49.21	33
56.99	28
19.27	25
75.18	21

Structural model:
```
data_ZnIn2BiO6
_cell_length_a 5.9011
_cell_length_b 5.9011
_cell_length_c 5.9011
_cell_angle_alpha 56.62
_cell_angle_beta 56.62
_cell_angle_gamma 56.62
_space_group_name_H-M_alt 'P 1'
_space_group_IT_number 1
loop_
_space_group_symop_operation_xyz
'x,y,z'
loop_
_atom_site_label
_atom_site_fract_x
_atom_site_fract_y
_atom_site_fract_z
_atom_site_occupancy
Zn1 0.0000 0.0000 0.0000 1
In1 0.2176 0.2176 0.2176 1
In2 0.7146 0.7146 0.7146 1
Bi1 0.5015 0.5015 0.5015 1
O1 0.0985 0.4019 0.8247 1
O2 0.3069 0.9091 0.6161 1
O3 0.4019 0.8247 0.0985 1
O4 0.6161 0.3069 0.9091 1
O5 0.8247 0.0985 0.4019 1
O6 0.9091 0.6161 0.3069 1
```